1.
The following is a theoretical powder diffractogram of PrHo2Er5Tm. It was derived from a PBE-relaxed structure, using Cu Ka.
Kinematic intensities with the Lorentz-polarization factor, no thermal factor.

Cell and atoms:
Cell: 9.578 9.578 9.578 Å, 124.04 124.04 83.13°
Element x y z (fractional)
Pr 0.250 0.250 0.000
Pr 0.750 0.750 0.000
Ho 0.111 0.611 0.722
Ho 0.389 0.111 0.500
Ho 0.611 0.889 0.500
Ho 0.889 0.389 0.278
Er 0.000 0.000 0.000
Er 0.074 0.165 0.500
Er 0.165 0.665 0.091
Er 0.335 0.426 0.500
Er 0.426 0.926 0.091
Er 0.500 0.500 0.000
Er 0.574 0.074 0.909
Er 0.665 0.574 0.500
Er 0.835 0.335 0.909
Er 0.926 0.835 0.500
Tm 0.250 0.750 0.500
Tm 0.750 0.250 0.500

Main lines, sorted by position (5° ≤ 2θ ≤ 70°):
d (Å)	2θ/deg	I/Imax
3.177	28.1	54
3.075	29.0	49
2.801	31.9	100
2.456	36.6	23
2.334	38.6	17
2.155	41.9	18
1.753	52.2	18
1.582	58.3	17

***

2.
The following is a theoretical powder diffractogram of Nd7Tm3Sc. It was derived from a PBE-relaxed structure, using Cu Ka.
Kinematic intensities with the Lorentz-polarization factor, no thermal factor.

Cell and atoms:
Cell: 7.016 10.038 11.210 Å, 90.19 90.00 110.45°
Element x y z (fractional)
Nd 0.000 0.000 0.000
Nd 0.001 0.002 0.459
Nd 0.077 0.157 0.730
Nd 0.114 0.244 0.229
Nd 0.232 0.511 0.729
Nd 0.316 0.644 0.437
Nd 0.317 0.646 0.020
Nd 0.502 0.000 0.500
Nd 0.503 0.002 0.959
Nd 0.584 0.157 0.230
Nd 0.632 0.244 0.729
Nd 0.784 0.511 0.229
Nd 0.829 0.644 0.937
Nd 0.830 0.646 0.520
Tm 0.175 0.850 0.229
Tm 0.177 0.849 0.729
Tm 0.418 0.333 0.480
Tm 0.418 0.333 0.980
Tm 0.666 0.837 0.729
Tm 0.673 0.836 0.229
Sc 0.912 0.322 0.980
Sc 0.913 0.322 0.480

Main lines, sorted by position (5° ≤ 2θ ≤ 70°):
d (Å)	2θ/deg	I/Imax
3.179	28.1	18
2.919	30.6	21
2.835	31.6	100
2.812	31.8	48
2.802	31.9	44
2.740	32.7	40
2.732	32.8	39
1.477	62.9	23

***

3.
The following is a theoretical powder diffractogram of LiAg4Te5. It was derived from a PBE-relaxed structure, using Cu Ka.
Kinematic intensities with the Lorentz-polarization factor, no thermal factor.

Cell and atoms:
Cell: 7.151 7.151 7.151 Å, 99.69 99.69 131.55°
Element x y z (fractional)
Li 0.000 0.000 0.000
Ag 0.207 0.410 0.600
Ag 0.410 0.810 0.203
Ag 0.607 0.207 0.797
Ag 0.810 0.607 0.400
Te 0.116 0.705 0.805
Te 0.312 0.116 0.411
Te 0.501 0.501 0.000
Te 0.705 0.901 0.589
Te 0.901 0.312 0.195

Main lines, sorted by position (5° ≤ 2θ ≤ 70°):
d (Å)	2θ/deg	I/Imax
4.951	17.9	9
3.374	26.4	8
2.934	30.5	51
2.916	30.7	100
2.068	43.8	74
2.062	43.9	37
1.687	54.4	38
1.458	63.8	12

***

4.
The following is a theoretical powder diffractogram of Cs2ZrSe3. It was derived from a PBE-relaxed structure, using Cu Ka.
Kinematic intensities with the Lorentz-polarization factor, no thermal factor.

Cell and atoms:
Cell: 7.537 7.537 8.589 Å, 90.04 90.04 120.01°
Element x y z (fractional)
Cs 0.000 0.000 0.000
Cs 0.000 0.000 0.500
Cs 0.333 0.667 0.000
Cs 0.667 0.333 0.000
Zr 0.333 0.667 0.500
Zr 0.667 0.333 0.500
Se 0.000 0.422 0.686
Se 0.000 0.578 0.314
Se 0.421 0.421 0.314
Se 0.422 0.000 0.686
Se 0.578 0.000 0.314
Se 0.579 0.579 0.686

Main lines, sorted by position (5° ≤ 2θ ≤ 70°):
d (Å)	2θ/deg	I/Imax
3.768	23.6	37
3.451	25.8	20
3.263	27.3	14
2.832	31.6	100
2.176	41.5	22
1.941	46.8	17
1.866	48.8	22
1.352	69.5	16

***

5.
The following is a theoretical powder diffractogram of Nb3Re2Mo6. It was derived from a PBE-relaxed structure, using Cu Ka.
Kinematic intensities with the Lorentz-polarization factor, no thermal factor.

Cell and atoms:
Cell: 5.094 8.685 8.484 Å, 90.00 92.65 90.00°
Element x y z (fractional)
Nb 0.000 0.000 0.000
Nb 0.000 0.235 0.500
Nb 0.000 0.765 0.500
Nb 0.500 0.167 0.000
Nb 0.500 0.500 0.500
Nb 0.500 0.833 0.000
Re 0.245 0.000 0.699
Re 0.255 0.500 0.001
Re 0.745 0.500 0.999
Re 0.755 0.000 0.301
Mo 0.003 0.500 0.327
Mo 0.009 0.255 0.163
Mo 0.009 0.745 0.163
Mo 0.282 0.000 0.333
Mo 0.494 0.319 0.737
Mo 0.494 0.681 0.737
Mo 0.506 0.319 0.263
Mo 0.506 0.681 0.263
Mo 0.718 0.000 0.667
Mo 0.991 0.255 0.837
Mo 0.991 0.745 0.837
Mo 0.997 0.500 0.673

Main lines, sorted by position (5° ≤ 2θ ≤ 70°):
d (Å)	2θ/deg	I/Imax
2.390	37.6	78
2.368	38.0	100
2.319	38.8	47
2.195	41.1	77
2.179	41.4	59
2.171	41.6	53
2.157	41.9	53
2.117	42.7	42

***

6.
The following is a theoretical powder diffractogram of Na5UTe5. It was derived from a PBE-relaxed structure, using Cu Ka.
Kinematic intensities with the Lorentz-polarization factor, no thermal factor.

Cell and atoms:
Cell: 8.101 8.101 8.915 Å, 106.76 106.76 44.44°
Element x y z (fractional)
Na 0.000 0.000 0.000
Na 0.306 0.306 0.176
Na 0.314 0.314 0.637
Na 0.686 0.686 0.363
Na 0.694 0.694 0.824
U 0.000 0.000 0.500
Te 0.142 0.142 0.328
Te 0.153 0.153 0.814
Te 0.500 0.500 0.500
Te 0.847 0.847 0.186
Te 0.858 0.858 0.672

Main lines, sorted by position (5° ≤ 2θ ≤ 70°):
d (Å)	2θ/deg	I/Imax
8.472	10.4	100
6.551	13.5	49
5.629	15.7	97
3.275	27.2	76
3.227	27.6	81
3.064	29.1	71
2.237	40.3	53
2.222	40.6	52